For Ho3Mn3Ga2Si, a DFT-relaxed cell (GGA-PBE, the Materials Project) gives the computed PXRD pattern in this record (copper Kα).
Neutral-atom scattering factors, no anomalous dispersion.

Largest 10 diffraction maxima, low angle first, 2θ from 5° to 70°:
| hkl | 2θ (°) | I_rel |
| --- | --- | --- |
| 0 0 1 | 21.44 | 19 |
| 1 1 0 | 25.73 | 16 |
| 2 0 0 | 29.80 | 33 |
| 1 1 1 | 33.73 | 80 |
| 2 0 1 | 37.00 | 100 |
| 2 1 0 | 39.77 | 37 |
| 0 0 2 | 43.67 | 25 |
| 3 1 0 | 55.23 | 18 |
| 1 3 1 | 59.93 | 33 |
| 2 1 2 | 60.53 | 21 |

Structural model:
a = 6.9242 Å, b = 6.9242 Å, c = 4.1452 Å
α = 90.00°, β = 90.00°, γ = 120.00°
Space group P-6 (No. 174)
Symmetry-distinct sites (fractional):
Ho 0.0041 0.4266 0.0000 (multiplicity 3)
Mn 0.0109 0.7728 0.5000 (multiplicity 3)
Ga 0.0000 0.0000 0.0000 (multiplicity 1)
Ga 0.6667 0.3333 0.5000 (multiplicity 1)
Si 0.3333 0.6667 0.5000 (multiplicity 1)



For Ho3Mn3Ga2Si, a DFT-relaxed cell (GGA-PBE, the Materials Project) gives the computed PXRD pattern in this record (copper Kα).
Neutral-atom scattering factors, no anomalous dispersion.

Largest 10 diffraction maxima, low angle first, 2θ from 5° to 70°:
| hkl | 2θ (°) | I_rel |
| --- | --- | --- |
| 1 1 0 | 25.22 | 25 |
| 2 0 0 | 29.20 | 11 |
| 1 1 1 | 34.15 | 100 |
| 2 0 1 | 37.27 | 59 |
| 2 1 0 | 38.96 | 38 |
| 3 0 0 | 44.44 | 14 |
| 0 0 2 | 46.24 | 19 |
| 3 1 0 | 54.06 | 17 |
| 3 1 1 | 59.35 | 30 |
| 2 1 2 | 62.02 | 19 |

Structural model:
a = 7.0625 Å, b = 7.0625 Å, c = 3.9264 Å
α = 90.00°, β = 90.00°, γ = 120.00°
Space group P-62m (No. 189)
Symmetry-distinct sites (fractional):
Ho 0.0000 0.4073 0.0000 (multiplicity 3)
Mn 0.0000 0.7798 0.5000 (multiplicity 3)
Ga 0.3333 0.6667 0.5000 (multiplicity 2)
Si 0.0000 0.0000 0.0000 (multiplicity 1)



For Ho4Ga21Ni10, a DFT-relaxed cell (GGA-PBE, the Materials Project) gives the computed PXRD pattern in this record (copper Kα).
Neutral-atom scattering factors, no anomalous dispersion.

Largest 10 diffraction maxima, low angle first, 2θ from 5° to 70°:
| hkl | 2θ (°) | I_rel |
| --- | --- | --- |
| 1 1 -4 | 33.84 | 21 |
| 3 1 -5 | 36.84 | 18 |
| 5 1 -5 | 37.03 | 41 |
| 5 1 1 | 37.96 | 100 |
| 7 1 -4 | 38.11 | 42 |
| 1 1 4 | 38.69 | 58 |
| 8 0 0 | 42.14 | 18 |
| 10 0 -4 | 43.29 | 16 |
| 0 2 0 | 44.54 | 69 |
| 1 1 -6 | 45.99 | 19 |

Structural model:
a = 20.911 Å, b = 4.068 Å, c = 15.434 Å
α = 90.00°, β = 124.87°, γ = 90.00°
Space group C2/m (No. 12)
Symmetry-distinct sites (fractional):
Ho 0.118 0.000 0.333 (multiplicity 4)
Ho 0.232 0.000 0.823 (multiplicity 4)
Ga 0.000 0.500 0.500 (multiplicity 2)
Ga 0.005 0.000 0.091 (multiplicity 4)
Ga 0.040 0.500 0.371 (multiplicity 4)
Ga 0.067 0.000 0.796 (multiplicity 4)
Ga 0.101 0.500 0.996 (multiplicity 4)
Ga 0.116 0.500 0.704 (multiplicity 4)
Ga 0.117 0.000 0.552 (multiplicity 4)
Ga 0.123 0.500 0.194 (multiplicity 4)
Ga 0.202 0.000 0.004 (multiplicity 4)
Ga 0.203 0.500 0.502 (multiplicity 4)
Ga 0.246 0.000 0.295 (multiplicity 4)
Ni 0.001 0.500 0.188 (multiplicity 4)
Ni 0.025 0.000 0.607 (multiplicity 4)
Ni 0.130 0.000 0.103 (multiplicity 4)
Ni 0.155 0.500 0.889 (multiplicity 4)
Ni 0.250 0.000 0.614 (multiplicity 4)